DySiNi: calculated powder XRD pattern (Cu Kα X-rays), based on a DFT-relaxed cell (PBE, the Materials Project).
Neutral-atom scattering factors, no anomalous dispersion.

Atomic structure:
```
DySiNi
1.0
6.876 0.000 0.000
0.000 4.182 0.000
0.000 0.000 7.081
Dy Si Ni
4 4 4
Direct
0.015 0.250 0.200 Dy
0.485 0.750 0.700 Dy
0.515 0.250 0.300 Dy
0.985 0.750 0.800 Dy
0.191 0.250 0.592 Si
0.309 0.750 0.092 Si
0.691 0.250 0.908 Si
0.809 0.750 0.408 Si
0.180 0.750 0.421 Ni
0.320 0.250 0.921 Ni
0.680 0.750 0.079 Ni
0.820 0.250 0.579 Ni
```

Largest 10 diffraction maxima, low angle first, 5 to 70 degrees two-theta:
2θ = 24.7°, rel. 44
2θ = 25.9°, rel. 16
2θ = 35.7°, rel. 50
2θ = 36.1°, rel. 100
2θ = 36.4°, rel. 38
2θ = 40.4°, rel. 19
2θ = 41.4°, rel. 16
2θ = 43.3°, rel. 29
2θ = 44.1°, rel. 30
2θ = 57.8°, rel. 20

---

Dy3Si3Ni: calculated powder XRD pattern (Cu Kα X-rays), based on a DFT-relaxed cell (PBE, the Materials Project).
Neutral-atom scattering factors, no anomalous dispersion.

Atomic structure:
```
Dy3Si3Ni
1.0
-1.982 2.065 8.746
1.982 -2.065 8.746
1.982 2.065 -8.746
Dy Si Ni
3 3 1
Direct
0.000 0.000 0.000 Dy
0.185 0.685 0.500 Dy
0.366 0.366 0.000 Dy
0.542 0.542 0.000 Si
0.625 0.125 0.500 Si
0.822 0.822 0.000 Si
0.752 0.252 0.500 Ni
```

Largest 10 diffraction maxima, low angle first, 5 to 70 degrees two-theta:
2θ = 22.1°, rel. 18
2θ = 27.2°, rel. 59
2θ = 30.7°, rel. 22
2θ = 32.9°, rel. 100
2θ = 33.6°, rel. 58
2θ = 37.6°, rel. 21
2θ = 43.8°, rel. 22
2θ = 45.8°, rel. 20
2θ = 52.4°, rel. 22
2θ = 57.9°, rel. 24

---

DySi2Ni2: calculated powder XRD pattern (Cu Kα X-rays), based on a DFT-relaxed cell (PBE, the Materials Project).
Neutral-atom scattering factors, no anomalous dispersion.

Atomic structure:
```
DySi2Ni2
1.0
-1.983 1.983 4.754
1.983 -1.983 4.754
1.983 1.983 -4.754
Dy Si Ni
1 2 2
Direct
0.000 0.000 0.000 Dy
0.373 0.373 0.000 Si
0.627 0.627 0.000 Si
0.250 0.750 0.500 Ni
0.750 0.250 0.500 Ni
```

Largest 10 diffraction maxima, low angle first, 5 to 70 degrees two-theta:
2θ = 24.3°, rel. 50
2θ = 36.3°, rel. 52
2θ = 37.2°, rel. 100
2θ = 37.9°, rel. 16
2θ = 45.8°, rel. 40
2θ = 52.5°, rel. 13
2θ = 53.4°, rel. 16
2θ = 59.7°, rel. 24
2θ = 60.8°, rel. 15
2θ = 67.9°, rel. 17

---

SmDyNi2: calculated powder XRD pattern (Cu Kα X-rays), based on a DFT-relaxed cell (PBE, the Materials Project).
Neutral-atom scattering factors, no anomalous dispersion.

Atomic structure:
```
SmDyNi2
1.0
4.195 0.000 0.000
0.000 1.878 5.122
0.000 -1.878 5.122
Sm Dy Ni
1 1 2
Direct
0.000 0.000 0.000 Sm
0.500 0.277 0.277 Dy
0.000 0.713 0.713 Ni
0.500 0.568 0.568 Ni
```

Largest 10 diffraction maxima, low angle first, 5 to 70 degrees two-theta:
2θ = 27.5°, rel. 38
2θ = 33.2°, rel. 100
2θ = 35.0°, rel. 26
2θ = 35.5°, rel. 41
2θ = 41.3°, rel. 17
2θ = 41.7°, rel. 49
2θ = 43.1°, rel. 27
2θ = 48.5°, rel. 19
2θ = 57.1°, rel. 21
2θ = 66.9°, rel. 14

---

Dy6Ni2Sn: calculated powder XRD pattern (Cu Kα X-rays), based on a DFT-relaxed cell (PBE, the Materials Project).
Neutral-atom scattering factors, no anomalous dispersion.

Atomic structure:
```
Dy6Ni2Sn
1.0
-4.649 4.833 5.085
4.649 -4.833 5.085
4.649 4.833 -5.085
Dy Ni Sn
12 4 2
Direct
0.028 0.232 0.796 Dy
0.184 0.292 0.476 Dy
0.184 0.708 0.892 Dy
0.323 0.014 0.691 Dy
0.323 0.633 0.309 Dy
0.436 0.232 0.204 Dy
0.564 0.768 0.796 Dy
0.677 0.367 0.691 Dy
0.677 0.986 0.309 Dy
0.816 0.292 0.108 Dy
0.816 0.708 0.524 Dy
0.972 0.768 0.204 Dy
0.122 0.622 0.500 Ni
0.354 0.000 0.354 Ni
0.646 0.000 0.646 Ni
0.878 0.378 0.500 Ni
0.000 0.000 0.000 Sn
0.500 0.500 0.000 Sn
```

Largest 10 diffraction maxima, low angle first, 5 to 70 degrees two-theta:
2θ = 29.1°, rel. 18
2θ = 30.3°, rel. 28
2θ = 32.0°, rel. 100
2θ = 34.0°, rel. 37
2θ = 34.3°, rel. 56
2θ = 35.0°, rel. 32
2θ = 35.5°, rel. 22
2θ = 38.7°, rel. 18
2θ = 56.1°, rel. 18
2θ = 60.3°, rel. 29

---

Dy2Ni2Sn: calculated powder XRD pattern (Cu Kα X-rays), based on a DFT-relaxed cell (PBE, the Materials Project).
Neutral-atom scattering factors, no anomalous dispersion.

Atomic structure:
```
Dy2Ni2Sn
1.0
-2.139 2.863 4.119
2.139 -2.863 4.119
2.139 2.863 -4.119
Dy Ni Sn
2 2 1
Direct
0.203 0.203 0.000 Dy
0.797 0.797 0.000 Dy
0.208 0.500 0.708 Ni
0.792 0.500 0.292 Ni
0.500 0.000 0.500 Sn
```

Largest 10 diffraction maxima, low angle first, 5 to 70 degrees two-theta:
2θ = 26.0°, rel. 15
2θ = 31.2°, rel. 19
2θ = 34.0°, rel. 100
2θ = 36.3°, rel. 26
2θ = 38.3°, rel. 13
2θ = 39.0°, rel. 13
2θ = 39.4°, rel. 40
2θ = 42.3°, rel. 25
2θ = 56.9°, rel. 15
2θ = 69.4°, rel. 21

---

Dy2Ni7Sn3: calculated powder XRD pattern (Cu Kα X-rays), based on a DFT-relaxed cell (PBE, the Materials Project).
Neutral-atom scattering factors, no anomalous dispersion.

Atomic structure:
```
Dy2Ni7Sn3
1.0
4.298 -11.869 0.000
4.298 11.869 0.000
0.000 0.000 7.558
Dy Ni Sn
8 28 12
Direct
0.194 0.806 0.927 Dy
0.207 0.207 0.500 Dy
0.293 0.293 0.000 Dy
0.306 0.694 0.427 Dy
0.694 0.306 0.573 Dy
0.707 0.707 0.000 Dy
0.793 0.793 0.500 Dy
0.806 0.194 0.073 Dy
0.046 0.954 0.853 Ni
0.049 0.654 0.578 Ni
0.101 0.899 0.555 Ni
0.123 0.356 0.908 Ni
0.144 0.377 0.592 Ni
0.154 0.549 0.078 Ni
0.165 0.835 0.310 Ni
0.335 0.665 0.810 Ni
0.346 0.951 0.578 Ni
0.356 0.123 0.092 Ni
0.377 0.144 0.408 Ni
0.399 0.601 0.055 Ni
0.451 0.846 0.078 Ni
0.454 0.546 0.353 Ni
0.546 0.454 0.647 Ni
0.549 0.154 0.922 Ni
0.601 0.399 0.945 Ni
0.623 0.856 0.592 Ni
0.644 0.877 0.908 Ni
0.654 0.049 0.422 Ni
0.665 0.335 0.190 Ni
0.835 0.165 0.690 Ni
0.846 0.451 0.922 Ni
0.856 0.623 0.408 Ni
0.877 0.644 0.092 Ni
0.899 0.101 0.445 Ni
0.951 0.346 0.422 Ni
0.954 0.046 0.147 Ni
0.032 0.468 0.750 Sn
0.062 0.938 0.205 Sn
0.144 0.356 0.250 Sn
0.356 0.144 0.750 Sn
0.438 0.562 0.705 Sn
0.468 0.032 0.250 Sn
0.532 0.968 0.750 Sn
0.562 0.438 0.295 Sn
0.644 0.856 0.250 Sn
0.856 0.644 0.750 Sn
0.938 0.062 0.795 Sn
0.968 0.532 0.250 Sn
```

Largest 10 diffraction maxima, low angle first, 5 to 70 degrees two-theta:
2θ = 28.2°, rel. 42
2θ = 32.4°, rel. 83
2θ = 32.8°, rel. 41
2θ = 36.8°, rel. 100
2θ = 37.9°, rel. 36
2θ = 38.6°, rel. 89
2θ = 38.8°, rel. 32
2θ = 42.0°, rel. 61
2θ = 42.3°, rel. 65
2θ = 42.5°, rel. 69

---

DyNiSn2: calculated powder XRD pattern (Cu Kα X-rays), based on a DFT-relaxed cell (PBE, the Materials Project).
Neutral-atom scattering factors, no anomalous dispersion.

Atomic structure:
```
DyNiSn2
1.0
16.156 0.000 0.000
0.000 4.441 0.000
0.000 0.000 14.647
Dy Ni Sn
12 12 24
Direct
0.125 0.250 0.229 Dy
0.146 0.750 0.606 Dy
0.151 0.250 0.973 Dy
0.349 0.750 0.473 Dy
0.354 0.250 0.106 Dy
0.375 0.750 0.729 Dy
0.625 0.250 0.271 Dy
0.646 0.750 0.894 Dy
0.651 0.250 0.527 Dy
0.849 0.750 0.027 Dy
0.854 0.250 0.394 Dy
0.875 0.750 0.771 Dy
0.051 0.750 0.106 Ni
0.196 0.250 0.747 Ni
0.201 0.250 0.457 Ni
0.299 0.750 0.957 Ni
0.304 0.750 0.247 Ni
0.449 0.250 0.606 Ni
0.551 0.750 0.394 Ni
0.696 0.250 0.753 Ni
0.701 0.250 0.043 Ni
0.799 0.750 0.543 Ni
0.804 0.750 0.253 Ni
0.949 0.250 0.894 Ni
0.021 0.750 0.922 Sn
0.033 0.250 0.739 Sn
0.044 0.250 0.450 Sn
0.174 0.750 0.372 Sn
0.185 0.750 0.825 Sn
0.213 0.750 0.106 Sn
0.287 0.250 0.606 Sn
0.315 0.250 0.325 Sn
0.326 0.250 0.872 Sn
0.456 0.750 0.950 Sn
0.467 0.750 0.239 Sn
0.479 0.250 0.422 Sn
0.521 0.750 0.578 Sn
0.533 0.250 0.761 Sn
0.544 0.250 0.050 Sn
0.674 0.750 0.128 Sn
0.685 0.750 0.675 Sn
0.713 0.750 0.394 Sn
0.787 0.250 0.894 Sn
0.815 0.250 0.175 Sn
0.826 0.250 0.628 Sn
0.956 0.750 0.550 Sn
0.967 0.750 0.261 Sn
0.979 0.250 0.078 Sn
```

Largest 10 diffraction maxima, low angle first, 5 to 70 degrees two-theta:
2θ = 29.3°, rel. 26
2θ = 30.5°, rel. 18
2θ = 32.2°, rel. 19
2θ = 33.6°, rel. 100
2θ = 34.9°, rel. 86
2θ = 35.9°, rel. 26
2θ = 38.2°, rel. 34
2θ = 40.6°, rel. 54
2θ = 53.5°, rel. 23
2θ = 57.0°, rel. 22